No. 1
Computed PXRD pattern
Compound: RbPSe6
Radiation: Cu Kα, 1.54184 Å
Structure: DFT lattice parameters and positions (GGA-PBE)
Intensities are scaled so that the largest is 100.

The 8 most intense peaks (10° ≤ 2θ ≤ 90°), sorted by position:
(2 0 3), 2θ = 26.9°, d 3.311, rel. 31; (1 1 3), 2θ = 27.1°, d 3.296, rel. 93; (1 2 1), 2θ = 27.5°, d 3.247, rel. 27; (4 0 0), 2θ = 28.7°, d 3.106, rel. 100; (2 1 3), 2θ = 29.8°, d 2.995, rel. 79; (2 2 1), 2θ = 30.2°, d 2.958, rel. 51; (0 1 4), 2θ = 33.1°, d 2.709, rel. 24; (5 1 3), 2θ = 45.1°, d 2.010, rel. 27

Structure:
```
data_RbPSe6
_chemical_formula_sum 'Rb4 P4 Se24'
_space_group_name_H-M_alt 'P c a 21'
_space_group_IT_number 29
_cell_length_a 12.422
_cell_length_b 7.022
_cell_length_c 11.741
_cell_angle_alpha 90.00
_cell_angle_beta 90.00
_cell_angle_gamma 90.00
loop_
_space_group_symop_operation_xyz
'x,y,z'
'-x,-y,z+1/2'
'-x+1/2,y,z+1/2'
'x+1/2,-y,z'
loop_
_atom_site_label
_atom_site_type_symbol
_atom_site_fract_x
_atom_site_fract_y
_atom_site_fract_z
Rb1 Rb 0.126 0.184 0.000
P1 P 0.169 0.791 0.320
Se1 Se 0.092 0.265 0.689
Se2 Se 0.092 0.689 0.148
Se3 Se 0.123 0.085 0.352
Se4 Se 0.131 0.947 0.612
Se5 Se 0.145 0.587 0.457
Se6 Se 0.151 0.757 0.782
```

---

No. 2
Computed PXRD pattern
Compound: RbPSe4
Radiation: Cu Kα, 1.54184 Å
Structure: DFT lattice parameters and positions (GGA-PBE)
Intensities are scaled so that the largest is 100.

The 8 most intense peaks (10° ≤ 2θ ≤ 90°), sorted by position:
(0 2 0), 2θ = 13.6°, d 6.498, rel. 24; (2 1 1), 2θ = 25.5°, d 3.494, rel. 72; (0 4 0), 2θ = 27.5°, d 3.249, rel. 65; (0 2 2), 2θ = 29.6°, d 3.013, rel. 100; (2 3 1), 2θ = 32.2°, d 2.781, rel. 23; (3 1 1), 2θ = 34.7°, d 2.583, rel. 54; (3 3 1), 2θ = 40.0°, d 2.252, rel. 38; (3 1 3), 2θ = 51.9°, d 1.760, rel. 25

Structure:
```
data_RbPSe4
_chemical_formula_sum 'Rb4 P4 Se16'
_space_group_name_H-M_alt 'A m a 2'
_space_group_IT_number 40
_cell_length_a 8.577
_cell_length_b 12.997
_cell_length_c 6.803
_cell_angle_alpha 90.00
_cell_angle_beta 90.00
_cell_angle_gamma 90.00
loop_
_space_group_symop_operation_xyz
'x,y,z'
'-x,-y,z'
'-x+1/2,y,z'
'x+1/2,-y,z'
'x,y+1/2,z+1/2'
'-x,-y+1/2,z+1/2'
'-x+1/2,y+1/2,z+1/2'
'x+1/2,-y+1/2,z+1/2'
loop_
_atom_site_label
_atom_site_type_symbol
_atom_site_fract_x
_atom_site_fract_y
_atom_site_fract_z
Rb1 Rb 0.000 0.000 0.000
P1 P 0.250 0.191 0.413
Se1 Se 0.079 0.276 0.219
Se2 Se 0.250 0.026 0.411
Se3 Se 0.250 0.250 0.729
```

---

No. 3
Computed PXRD pattern
Compound: Rb2PSe3
Radiation: Cu Kα, 1.54184 Å
Structure: DFT lattice parameters and positions (GGA-PBE)
Intensities are scaled so that the largest is 100.

The 8 most intense peaks (10° ≤ 2θ ≤ 90°), sorted by position:
(2 0 0), 2θ = 23.6°, d 3.769, rel. 84; (0 4 1), 2θ = 26.2°, d 3.396, rel. 75; (0 2 5), 2θ = 29.8°, d 2.999, rel. 100; (2 2 3), 2θ = 31.5°, d 2.843, rel. 35; (2 0 4), 2θ = 32.0°, d 2.793, rel. 53; (2 4 0), 2θ = 35.2°, d 2.552, rel. 34; (2 2 5), 2θ = 38.4°, d 2.347, rel. 53; (2 4 3), 2θ = 38.8°, d 2.318, rel. 42

Structure:
```
data_Rb2PSe3
_chemical_formula_sum 'Rb16 P8 Se24'
_space_group_name_H-M_alt 'C m c e'
_space_group_IT_number 64
_space_group_name_Hall '-C 2ac 2'
_cell_length_a 7.539
_cell_length_b 13.875
_cell_length_c 16.632
_cell_angle_alpha 90.00
_cell_angle_beta 90.00
_cell_angle_gamma 90.00
loop_
_atom_site_label
_atom_site_type_symbol
_atom_site_fract_x
_atom_site_fract_y
_atom_site_fract_z
Rb1 Rb 0.000 0.067 0.160
Rb2 Rb 0.000 0.145 0.575
P1 P 0.000 0.247 0.837
Se1 Se 0.000 0.098 0.368
Se2 Se 0.000 0.154 0.946
Se3 Se 0.250 0.208 0.750
```

---

No. 4
Computed PXRD pattern
Compound: RbPSe3
Radiation: Cu Kα, 1.54184 Å
Structure: DFT lattice parameters and positions (GGA-PBE)
Intensities are scaled so that the largest is 100.

The 8 most intense peaks (10° ≤ 2θ ≤ 90°), sorted by position:
(1 0 4), 2θ = 22.6°, d 3.939, rel. 14; (2 0 0), 2θ = 27.0°, d 3.305, rel. 18; (0 0 6), 2θ = 27.3°, d 3.264, rel. 100; (0 2 2), 2θ = 28.5°, d 3.134, rel. 13; (2 0 3), 2θ = 30.3°, d 2.952, rel. 37; (2 0 5), 2θ = 35.5°, d 2.529, rel. 29; (2 2 2), 2θ = 48.6°, d 1.875, rel. 16; (2 2 4), 2θ = 51.3°, d 1.780, rel. 16

Structure:
```
data_RbPSe3
_chemical_formula_sum 'Rb6 P6 Se18'
_space_group_name_H-M_alt 'P 31 2 1'
_space_group_IT_number 152
_cell_length_a 7.6394
_cell_length_b 7.6394
_cell_length_c 19.6123
_cell_angle_alpha 90.00
_cell_angle_beta 90.00
_cell_angle_gamma 120.00
loop_
_space_group_symop_operation_xyz
'x,y,z'
'-y,x-y,z+1/3'
'-x+y,-x,z+2/3'
'y,x,-z'
'x-y,-y,-z+2/3'
'-x,-x+y,-z+1/3'
loop_
_atom_site_label
_atom_site_type_symbol
_atom_site_fract_x
_atom_site_fract_y
_atom_site_fract_z
Rb1 Rb 0.2661 0.5661 0.2490
P1 P 0.0475 0.1210 0.4474
Se1 Se 0.0132 0.7365 0.7767
Se2 Se 0.0760 0.2391 0.7212
Se3 Se 0.2094 0.7713 0.0899
```

---

No. 5
Computed PXRD pattern
Compound: RbSnPSe6
Radiation: Cu Kα, 1.54184 Å
Structure: DFT lattice parameters and positions (GGA-PBE)
Intensities are scaled so that the largest is 100.

The 8 most intense peaks (10° ≤ 2θ ≤ 90°), sorted by position:
(0 0 1), 2θ = 10.4°, d 8.477, rel. 98; (1 0 1), 2θ = 19.3°, d 4.606, rel. 68; (1 1 1), 2θ = 30.1°, d 2.967, rel. 82; (2 -1 2), 2θ = 35.4°, d 2.537, rel. 100; (1 1 3), 2θ = 42.9°, d 2.109, rel. 22; (2 1 1), 2θ = 45.0°, d 2.014, rel. 25; (3 0 0), 2θ = 49.9°, d 1.829, rel. 32; (1 1 4), 2θ = 51.9°, d 1.761, rel. 32

Structure:
```
data_RbSnPSe6
_chemical_formula_sum 'Rb1 Sn1 P1 Se6'
_space_group_name_H-M_alt 'P 3 1 2'
_space_group_IT_number 149
_cell_length_a 6.3356
_cell_length_b 6.3356
_cell_length_c 8.4767
_cell_angle_alpha 90.00
_cell_angle_beta 90.00
_cell_angle_gamma 120.00
loop_
_space_group_symop_operation_xyz
'x,y,z'
'-y,x-y,z'
'-x+y,-x,z'
'-y,-x,-z'
'-x+y,y,-z'
'x,x-y,-z'
loop_
_atom_site_label
_atom_site_type_symbol
_atom_site_fract_x
_atom_site_fract_y
_atom_site_fract_z
Rb1 Rb 0.0000 0.0000 0.0000
Sn1 Sn 0.3333 0.6667 0.5000
P1 P 0.6667 0.3333 0.5000
Se1 Se 0.3729 0.0393 0.6789
```

---

No. 6
Computed PXRD pattern
Compound: Rb5SnP3Se15
Radiation: Cu Kα, 1.54184 Å
Structure: DFT lattice parameters and positions (GGA-PBE)
Intensities are scaled so that the largest is 100.

The 8 most intense peaks (10° ≤ 2θ ≤ 90°), sorted by position:
(1 0 1), 2θ = 12.6°, d 7.010, rel. 42; (1 0 -1), 2θ = 14.2°, d 6.253, rel. 48; (2 0 2), 2θ = 25.4°, d 3.508, rel. 62; (2 0 3), 2θ = 26.6°, d 3.348, rel. 51; (0 2 -5), 2θ = 27.4°, d 3.251, rel. 62; (0 2 5), 2θ = 27.8°, d 3.207, rel. 73; (0 4 0), 2θ = 31.1°, d 2.879, rel. 100; (2 4 2), 2θ = 34.1°, d 2.626, rel. 42

Structure:
```
data_Rb5SnP3Se15
_chemical_formula_sum 'Rb10 Sn2 P6 Se30'
_space_group_name_H-M_alt 'P -1'
_space_group_IT_number 2
_cell_length_a 7.464
_cell_length_b 12.057
_cell_length_c 19.820
_cell_angle_alpha 87.75
_cell_angle_beta 79.60
_cell_angle_gamma 72.86
loop_
_space_group_symop_operation_xyz
'x,y,z'
'-x,-y,-z'
loop_
_atom_site_label
_atom_site_type_symbol
_atom_site_fract_x
_atom_site_fract_y
_atom_site_fract_z
Rb1 Rb 0.029 0.408 0.114
Rb2 Rb 0.106 0.381 0.381
Rb3 Rb 0.311 0.854 0.543
Rb4 Rb 0.346 0.866 0.956
Rb5 Rb 0.437 0.644 0.244
Sn1 Sn 0.236 0.094 0.743
P1 P 0.051 0.218 0.569
P2 P 0.244 0.227 0.928
P3 P 0.354 0.737 0.745
Se1 Se 0.006 0.909 0.350
Se2 Se 0.008 0.996 0.834
Se3 Se 0.034 0.839 0.762
Se4 Se 0.043 0.327 0.774
Se5 Se 0.045 0.718 0.109
Se6 Se 0.161 0.144 0.024
Se7 Se 0.195 0.633 0.440
Se8 Se 0.201 0.129 0.472
Se9 Se 0.231 0.315 0.613
Se10 Se 0.353 0.372 0.943
Se11 Se 0.364 0.620 0.661
Se12 Se 0.448 0.105 0.847
Se13 Se 0.452 0.644 0.834
Se14 Se 0.483 0.165 0.643
Se15 Se 0.499 0.873 0.708
```

---

No. 7
Computed PXRD pattern
Compound: RbSnP
Radiation: Cu Kα, 1.54184 Å
Structure: DFT lattice parameters and positions (GGA-PBE)
Intensities are scaled so that the largest is 100.

The 8 most intense peaks (10° ≤ 2θ ≤ 90°), sorted by position:
(1 0 -1), 2θ = 13.4°, d 6.619, rel. 20; (1 0 -2), 2θ = 22.9°, d 3.881, rel. 63; (1 1 0), 2θ = 25.6°, d 3.477, rel. 100; (2 0 0), 2θ = 26.7°, d 3.338, rel. 42; (0 1 2), 2θ = 34.3°, d 2.611, rel. 52; (2 1 -2), 2θ = 34.9°, d 2.569, rel. 98; (3 0 -2), 2θ = 36.0°, d 2.492, rel. 19; (3 1 0), 2θ = 46.5°, d 1.953, rel. 21

Structure:
```
data_RbSnP
_chemical_formula_sum 'Rb2 Sn2 P2'
_space_group_name_H-M_alt 'P 1 21/m 1'
_space_group_IT_number 11
_cell_length_a 7.618
_cell_length_b 4.073
_cell_length_c 7.765
_cell_angle_alpha 90.00
_cell_angle_beta 118.81
_cell_angle_gamma 90.00
loop_
_space_group_symop_operation_xyz
'x,y,z'
'-x,-y,-z'
'-x,y+1/2,-z'
'x,-y+1/2,z'
loop_
_atom_site_label
_atom_site_type_symbol
_atom_site_fract_x
_atom_site_fract_y
_atom_site_fract_z
Rb1 Rb 0.200 0.250 0.343
Sn1 Sn 0.278 0.250 0.898
P1 P 0.389 0.750 0.751
```

---

No. 8
Computed PXRD pattern
Compound: RbTc2P
Radiation: Cu Kα, 1.54184 Å
Structure: DFT lattice parameters and positions (GGA-PBE)
Intensities are scaled so that the largest is 100.

The 8 most intense peaks (10° ≤ 2θ ≤ 90°), sorted by position:
(1 0 1), 2θ = 18.9°, d 4.689, rel. 38; (1 0 3), 2θ = 24.2°, d 3.674, rel. 100; (1 1 2), 2θ = 27.9°, d 3.193, rel. 50; (1 0 5), 2θ = 32.4°, d 2.759, rel. 47; (2 0 2), 2θ = 38.4°, d 2.345, rel. 61; (2 1 1), 2θ = 41.7°, d 2.167, rel. 63; (2 0 6), 2θ = 49.6°, d 1.837, rel. 29; (2 2 4), 2θ = 57.8°, d 1.596, rel. 45

Structure:
```
data_RbTc2P
_chemical_formula_sum 'Rb4 Tc8 P4'
_space_group_name_H-M_alt 'I 41/a m d'
_space_group_IT_number 141
_cell_length_a 4.886
_cell_length_b 4.886
_cell_length_c 16.718
_cell_angle_alpha 90.00
_cell_angle_beta 90.00
_cell_angle_gamma 90.00
loop_
_space_group_symop_operation_xyz
'x,y,z'
'-x,-y,-z'
'-y+1/4,x+3/4,z+1/4'
'y+1/4,-x+3/4,-z+1/4'
'-x+1/2,-y,z+1/2'
'x+1/2,y,-z+1/2'
'y+1/4,-x+1/4,z+3/4'
'-y+1/4,x+1/4,-z+3/4'
'x,-y,-z'
'-x,y,z'
'-y+1/4,-x+1/4,-z+3/4'
'y+1/4,x+1/4,z+3/4'
'-x+1/2,y,-z+1/2'
'x+1/2,-y,z+1/2'
'y+1/4,x+3/4,-z+1/4'
'-y+1/4,-x+3/4,z+1/4'
'x+1/2,y+1/2,z+1/2'
'-x+1/2,-y+1/2,-z+1/2'
'-y+3/4,x+1/4,z+3/4'
'y+3/4,-x+1/4,-z+3/4'
'-x,-y+1/2,z'
'x,y+1/2,-z'
'y+3/4,-x+3/4,z+1/4'
'-y+3/4,x+3/4,-z+1/4'
'x+1/2,-y+1/2,-z+1/2'
'-x+1/2,y+1/2,z+1/2'
'-y+3/4,-x+3/4,-z+1/4'
'y+3/4,x+3/4,z+1/4'
'-x,y+1/2,-z'
'x,-y+1/2,z'
'y+3/4,x+1/4,-z+3/4'
'-y+3/4,-x+1/4,z+3/4'
loop_
_atom_site_label
_atom_site_type_symbol
_atom_site_fract_x
_atom_site_fract_y
_atom_site_fract_z
Rb1 Rb 0.000 0.250 0.375
Tc1 Tc 0.000 0.000 0.000
P1 P 0.000 0.250 0.875
```